No. 1
This entry pairs a crystal structure of Be4Ir3Au with its theoretical PXRD pattern. Radiation: Cu Kα. Structure: DFT lattice parameters and positions (PBE).
Neutral-atom scattering factors, no anomalous dispersion.

Atomic structure:
Cell: 2.861 2.861 11.293 Å, 90.00 90.00 90.00°
Space group P4/mmm (No. 123)
Asymmetric unit:
Be  0.000  0.000  0.121 x2
Be  0.000  0.000  0.348 x2
Ir  0.500  0.500  0.000 x1
Ir  0.500  0.500  0.246 x2
Au  0.500  0.500  0.500 x1

Top 10 peaks for 2θ from 15° to 90°, low angle first:
- (1 0 0), 2.861 Å, intensity 100
- (0 0 4), 2.823 Å, intensity 48
- (1 1 0), 2.023 Å, intensity 43
- (1 0 4), 2.009 Å, intensity 83
- (1 1 4), 1.644 Å, intensity 40
- (2 0 0), 1.430 Å, intensity 14
- (2 1 0), 1.279 Å, intensity 17
- (2 0 4), 1.276 Å, intensity 17
- (1 0 8), 1.266 Å, intensity 17
- (2 1 4), 1.165 Å, intensity 30

***

No. 2
This entry pairs a crystal structure of LiBeIr2Au with its theoretical PXRD pattern. Radiation: Cu Kα. Structure: DFT lattice parameters and positions (PBE).
Neutral-atom scattering factors, no anomalous dispersion.

Atomic structure:
Cell: 4.175 4.175 4.163 Å, 90.00 90.00 90.00°
Space group P4/mmm (No. 123)
Asymmetric unit:
Li  0.000  0.000  0.000 x1
Be  0.500  0.500  0.500 x1
Ir  0.000  0.500  0.000 x2
Au  0.000  0.000  0.500 x1

Top 10 peaks for 2θ from 15° to 90°, low angle first:
- (1 0 0), 4.171 Å, intensity 33
- (1 0 1), 2.949 Å, intensity 25
- (1 1 1), 2.408 Å, intensity 100
- (2 0 0), 2.087 Å, intensity 34
- (0 0 2), 2.082 Å, intensity 17
- (2 1 1), 1.703 Å, intensity 11
- (2 2 0), 1.475 Å, intensity 34
- (3 1 1), 1.258 Å, intensity 26
- (1 1 3), 1.256 Å, intensity 13
- (2 2 2), 1.204 Å, intensity 12

***

No. 3
This entry pairs a crystal structure of BePIrAu with its theoretical PXRD pattern. Radiation: Cu Kα. Structure: DFT lattice parameters and positions (PBE).
Neutral-atom scattering factors, no anomalous dispersion.

Atomic structure:
Cell: 3.395 4.297 4.616 Å, 86.07 68.56 66.92°
Space group P1 (No. 1)
Asymmetric unit:
Be  0.000  0.000  0.000 x1
P  0.186  0.200  0.436 x1
Ir  0.826  0.818  0.536 x1
Au  0.324  0.428  0.926 x1

Top 10 peaks for 2θ from 15° to 90°, low angle first:
- (0 0 1), 4.280 Å, intensity 15
- (0 1 -1), 3.033 Å, intensity 32
- (1 1 0), 2.962 Å, intensity 100
- (0 1 1), 2.780 Å, intensity 49
- (0 0 2), 2.141 Å, intensity 44
- (1 0 -1), 2.073 Å, intensity 17
- (1 1 2), 2.066 Å, intensity 17
- (1 -1 0), 1.991 Å, intensity 21
- (1 2 1), 1.983 Å, intensity 21
- (2 1 1), 1.697 Å, intensity 14

***

No. 4
This entry pairs a crystal structure of BeZnIrAu with its theoretical PXRD pattern. Radiation: Cu Kα. Structure: DFT lattice parameters and positions (PBE).
Neutral-atom scattering factors, no anomalous dispersion.

Atomic structure:
Cell: 2.980 2.980 6.290 Å, 90.00 90.00 90.00°
Space group P4mm (No. 99)
Asymmetric unit:
Be  0.000  0.000  0.000 x1
Zn  0.500  0.500  0.264 x1
Ir  0.500  0.500  0.856 x1
Au  0.000  0.000  0.530 x1

Top 10 peaks for 2θ from 15° to 90°, low angle first:
- (1 0 1), 2.693 Å, intensity 100
- (1 0 2), 2.163 Å, intensity 99
- (1 1 0), 2.107 Å, intensity 59
- (0 0 3), 2.097 Å, intensity 22
- (2 0 0), 1.490 Å, intensity 20
- (1 1 3), 1.486 Å, intensity 30
- (2 1 1), 1.304 Å, intensity 22
- (2 1 2), 1.227 Å, intensity 32
- (2 0 3), 1.214 Å, intensity 16
- (1 0 5), 1.159 Å, intensity 14

***

No. 5
This entry pairs a crystal structure of KBeAu4 with its theoretical PXRD pattern. Radiation: Cu Kα. Structure: DFT lattice parameters and positions (PBE).
Neutral-atom scattering factors, no anomalous dispersion.

Atomic structure:
Cell: 6.417 11.345 7.137 Å, 90.00 90.05 90.00°
Space group C2/c (No. 15)
Asymmetric unit:
K  0.000  0.080  0.250 x4
Be  0.000  0.455  0.250 x4
Au  0.000  0.375  0.552 x8
Au  0.219  0.185  0.750 x8

Top 10 peaks for 2θ from 15° to 90°, low angle first:
- (0 2 0), 5.672 Å, intensity 54
- (1 1 0), 5.585 Å, intensity 84
- (1 1 1), 4.399 Å, intensity 40
- (1 1 2), 3.007 Å, intensity 65
- (0 4 1), 2.636 Å, intensity 52
- (2 2 -1), 2.601 Å, intensity 100
- (1 3 2), 2.406 Å, intensity 40
- (2 0 2), 2.386 Å, intensity 88
- (0 2 3), 2.194 Å, intensity 65
- (0 6 1), 1.827 Å, intensity 35

***

No. 6
This entry pairs a crystal structure of La2BeAu with its theoretical PXRD pattern. Radiation: Cu Kα. Structure: DFT lattice parameters and positions (PBE).
Neutral-atom scattering factors, no anomalous dispersion.

Atomic structure:
Cell: 3.664 4.978 6.086 Å, 114.12 107.16 90.02°
Space group P1 (No. 1)
Asymmetric unit:
La  0.000  0.000  0.000 x1
La  0.198  0.689  0.380 x1
Be  0.771  0.265  0.534 x1
Au  0.408  0.407  0.814 x1

Top 10 peaks for 2θ from 15° to 90°, low angle first:
- (0 0 1), 5.256 Å, intensity 27
- (1 0 0), 3.467 Å, intensity 29
- (1 0 -1), 3.452 Å, intensity 29
- (0 1 -2), 2.865 Å, intensity 100
- (1 1 0), 2.579 Å, intensity 89
- (1 1 -2), 2.567 Å, intensity 87
- (0 2 -1), 2.489 Å, intensity 52
- (1 -2 1), 2.020 Å, intensity 26
- (2 0 -1), 1.830 Å, intensity 40
- (2 2 -2), 1.475 Å, intensity 40

***

No. 7
This entry pairs a crystal structure of LiBeAu6 with its theoretical PXRD pattern. Radiation: Cu Kα. Structure: DFT lattice parameters and positions (PBE).
Neutral-atom scattering factors, no anomalous dispersion.

Atomic structure:
Cell: 4.004 7.842 8.416 Å, 90.00 90.00 90.00°
Space group Amm2 (No. 38)
Asymmetric unit:
Li  0.000  0.000  0.000 x2
Be  0.000  0.000  0.578 x2
Au  0.000  0.248  0.250 x4
Au  0.500  0.000  0.198 x2
Au  0.500  0.000  0.802 x2
Au  0.500  0.186  0.497 x4

Top 10 peaks for 2θ from 15° to 90°, low angle first:
- (1 0 0), 4.004 Å, intensity 15
- (1 0 2), 2.901 Å, intensity 20
- (1 2 0), 2.801 Å, intensity 21
- (0 1 3), 2.641 Å, intensity 16
- (0 3 1), 2.496 Å, intensity 15
- (1 2 2), 2.332 Å, intensity 100
- (1 1 3), 2.205 Å, intensity 20
- (1 3 1), 2.118 Å, intensity 19
- (0 0 4), 2.104 Å, intensity 15
- (2 0 0), 2.002 Å, intensity 23

***

No. 8
This entry pairs a crystal structure of Li3Be2Au7 with its theoretical PXRD pattern. Radiation: Cu Kα. Structure: DFT lattice parameters and positions (PBE).
Neutral-atom scattering factors, no anomalous dispersion.

Atomic structure:
Cell: 4.410 4.502 10.657 Å, 92.77 97.06 98.70°
Space group P-1 (No. 2)
Asymmetric unit:
Li  0.000  0.000  0.000 x1
Li  0.059  0.126  0.361 x2
Be  0.415  0.463  0.756 x2
Au  0.055  0.526  0.175 x2
Au  0.456  0.967  0.822 x2
Au  0.470  0.737  0.425 x2
Au  0.500  0.500  0.000 x1

Top 10 peaks for 2θ from 15° to 90°, low angle first:
- (1 0 0), 4.322 Å, intensity 86
- (0 0 3), 3.517 Å, intensity 62
- (1 -1 0), 3.376 Å, intensity 49
- (-1 1 2), 2.912 Å, intensity 72
- (1 1 2), 2.397 Å, intensity 95
- (1 1 -3), 2.387 Å, intensity 94
- (1 -1 3), 2.376 Å, intensity 100
- (0 2 -1), 2.203 Å, intensity 73
- (2 0 0), 2.161 Å, intensity 62
- (0 0 5), 2.110 Å, intensity 44

***

No. 9
This entry pairs a crystal structure of LiBeAu3 with its theoretical PXRD pattern. Radiation: Cu Kα. Structure: DFT lattice parameters and positions (PBE).
Neutral-atom scattering factors, no anomalous dispersion.

Atomic structure:
Cell: 9.899 5.799 7.290 Å, 90.00 124.64 90.00°
Space group Cm (No. 8)
Asymmetric unit:
Li  0.000  0.000  0.000 x2
Li  0.153  0.000  0.648 x2
Be  0.016  0.500  0.828 x2
Be  0.399  0.000  0.333 x2
Au  0.056  0.500  0.176 x2
Au  0.161  0.500  0.648 x2
Au  0.256  0.253  0.041 x4
Au  0.346  0.255  0.531 x4

Top 10 peaks for 2θ from 15° to 90°, low angle first:
- (1 1 0), 4.724 Å, intensity 94
- (2 0 0), 4.072 Å, intensity 50
- (2 0 -2), 3.571 Å, intensity 42
- (0 0 2), 2.999 Å, intensity 82
- (2 2 -1), 2.496 Å, intensity 67
- (4 0 -1), 2.384 Å, intensity 68
- (2 2 0), 2.362 Å, intensity 100
- (2 2 -2), 2.251 Å, intensity 72
- (4 0 -3), 2.171 Å, intensity 48
- (0 2 2), 2.085 Å, intensity 63

***

No. 10
This entry pairs a crystal structure of Li3Be2Au5 with its theoretical PXRD pattern. Radiation: Cu Kα. Structure: DFT lattice parameters and positions (PBE).
Neutral-atom scattering factors, no anomalous dispersion.

Atomic structure:
Cell: 9.772 9.772 3.216 Å, 90.00 90.00 90.00°
Space group P4/mbm (No. 127)
Asymmetric unit:
Li  0.000  0.000  0.000 x2
Li  0.173  0.327  0.000 x4
Be  0.127  0.627  0.000 x4
Au  0.000  0.500  0.500 x2
Au  0.072  0.797  0.500 x8

Top 10 peaks for 2θ from 15° to 90°, low angle first:
- (2 1 0), 4.370 Å, intensity 38
- (0 0 1), 3.216 Å, intensity 100
- (3 1 0), 3.090 Å, intensity 73
- (3 2 0), 2.710 Å, intensity 45
- (4 1 0), 2.370 Å, intensity 55
- (3 1 1), 2.228 Å, intensity 69
- (3 2 1), 2.073 Å, intensity 47
- (4 1 1), 1.908 Å, intensity 55
- (5 5 0), 1.382 Å, intensity 35
- (5 5 1), 1.270 Å, intensity 35

***

No. 11
This entry pairs a crystal structure of Sr2LiBeAu6 with its theoretical PXRD pattern. Radiation: Cu Kα. Structure: DFT lattice parameters and positions (PBE).
Neutral-atom scattering factors, no anomalous dispersion.

Atomic structure:
Cell: 6.480 6.540 7.012 Å, 63.14 62.83 60.53°
Space group P-1 (No. 2)
Asymmetric unit:
Sr  0.221  0.221  0.339 x2
Li  0.500  0.500  0.500 x1
Be  0.000  0.000  0.000 x1
Au  0.243  0.244  0.823 x2
Au  0.243  0.687  0.826 x2
Au  0.313  0.761  0.173 x2

Top 10 peaks for 2θ from 15° to 90°, low angle first:
- (1 1 -1), 3.028 Å, intensity 36
- (0 1 2), 3.014 Å, intensity 17
- (0 0 2), 2.982 Å, intensity 32
- (0 2 0), 2.721 Å, intensity 65
- (2 0 0), 2.689 Å, intensity 63
- (2 2 2), 2.674 Å, intensity 63
- (0 2 2), 2.389 Å, intensity 100
- (0 0 3), 1.988 Å, intensity 18
- (2 -2 0), 1.640 Å, intensity 18
- (2 4 2), 1.635 Å, intensity 18

***

No. 12
This entry pairs a crystal structure of Li2BeZnAu6 with its theoretical PXRD pattern. Radiation: Cu Kα. Structure: DFT lattice parameters and positions (PBE).
Neutral-atom scattering factors, no anomalous dispersion.

Atomic structure:
Cell: 5.514 5.607 8.322 Å, 71.55 70.75 60.60°
Space group P-1 (No. 2)
Asymmetric unit:
Li  0.201  0.197  0.401 x2
Be  0.500  0.500  0.500 x1
Zn  0.000  0.000  0.000 x1
Au  0.240  0.737  0.279 x2
Au  0.257  0.263  0.721 x2
Au  0.258  0.770  0.716 x2

Top 10 peaks for 2θ from 15° to 90°, low angle first:
- (0 1 1), 4.457 Å, intensity 87
- (0 0 2), 3.858 Å, intensity 100
- (0 0 3), 2.572 Å, intensity 18
- (0 2 0), 2.399 Å, intensity 34
- (2 2 2), 2.346 Å, intensity 66
- (0 2 2), 2.234 Å, intensity 36
- (2 0 2), 2.225 Å, intensity 68
- (0 2 -2), 1.884 Å, intensity 16
- (2 2 4), 1.839 Å, intensity 33
- (2 -2 0), 1.402 Å, intensity 17